Li3Fe4O3F5: calculated powder diffractogram (Cu Kα), based on DFT lattice parameters and positions (GGA+U).

Most intense lines, 15 to 90 degrees two-theta, low angle first:
Position (°2θ)	I/Imax	index
17.32	74.6	0 1 -1
17.87	46.0	0 1 0
19.95	54.5	1 -1 0
21.99	44.1	1 1 -1
29.24	38.4	1 1 -2
35.07	25.4	0 2 -2
38.60	100.0	0 0 2
40.53	83.4	2 -2 0
44.85	74.2	2 2 -2
55.60	29.4	2 -2 2
58.78	27.3	-2 2 2
60.63	38.0	2 2 0

Cell and atoms:
a b c (Å): 6.0122 6.0222 6.1759
angles (deg): 117.93 114.24 95.59
Space group P1 (No. 1)
Unique sites:
Li 0.0000 0.0000 0.0000
Li 0.0503 0.0483 0.5177
Li 0.5275 0.1806 0.1381
Fe 0.0477 0.5374 0.5256
Fe 0.0528 0.5196 0.9975
Fe 0.5542 0.5587 0.9961
Fe 0.5733 0.0492 0.5355
O 0.2971 0.3316 0.9876
O 0.8141 0.2799 0.5233
O 0.8729 0.7689 0.0880
F 0.3025 0.2872 0.5048
F 0.3056 0.8023 0.5274
F 0.3134 0.8342 0.0070
F 0.7977 0.2479 0.0310
F 0.8370 0.8181 0.5722